Record 1
This entry pairs a crystal structure of Ba3PtO5 with its calculated powder diffraction line list. Radiation: Cu Kα (weighted mean of Kα1 and Kα2). Structure: a crystal structure in Alexandria, relaxed with GGA-PBE.
Intensities are scaled so that the largest is 100.

Top 8 peaks for 2θ from 10° to 80°, by intensity:
| two_theta | d_spacing | I/Imax |
| --- | --- | --- |
| 28.2 | 3.163 | 100.0 |
| 28.5 | 3.129 | 33.7 |
| 30.8 | 2.904 | 30.5 |
| 34.6 | 2.592 | 26.0 |
| 45.4 | 1.996 | 23.8 |
| 50.3 | 1.813 | 21.0 |
| 39.8 | 2.263 | 20.6 |
| 52.0 | 1.759 | 17.3 |

Atomic structure:
a b c (Å): 7.331 7.331 6.257
angles (deg): 90.00 90.00 90.00
Atoms (fractional coordinates):
1 Ba 0.000 0.000 0.000
2 Ba 0.175 0.325 0.500
3 Ba 0.325 0.825 0.500
4 Ba 0.500 0.500 0.000
5 Ba 0.675 0.175 0.500
6 Ba 0.825 0.675 0.500
7 Pt 0.000 0.500 0.000
8 Pt 0.500 0.000 0.000
9 O 0.000 0.000 0.500
10 O 0.135 0.635 0.218
11 O 0.135 0.635 0.782
12 O 0.365 0.135 0.218
13 O 0.365 0.135 0.782
14 O 0.500 0.500 0.500
15 O 0.635 0.865 0.218
16 O 0.635 0.865 0.782
17 O 0.865 0.365 0.218
18 O 0.865 0.365 0.782


Record 2
This entry pairs a crystal structure of Ba3Pt2O7 with its calculated powder diffraction line list. Radiation: Cu Kα (weighted mean of Kα1 and Kα2). Structure: a crystal structure in Alexandria, relaxed with GGA-PBE.
Intensities are scaled so that the largest is 100.

Top 8 peaks for 2θ from 10° to 80°, by intensity:
| two_theta | d_spacing | I/Imax |
| --- | --- | --- |
| 30.1 | 2.967 | 100.0 |
| 17.3 | 5.140 | 32.7 |
| 40.5 | 2.229 | 32.3 |
| 26.4 | 3.370 | 31.7 |
| 26.6 | 3.351 | 28.0 |
| 51.2 | 1.783 | 11.6 |
| 40.6 | 2.220 | 11.3 |
| 54.5 | 1.685 | 10.9 |

Atomic structure:
a b c (Å): 10.286 10.286 8.871
angles (deg): 90.28 90.28 120.17
Atoms (fractional coordinates):
1 Ba 0.002 0.306 0.234
2 Ba 0.003 0.997 0.500
3 Ba 0.306 0.002 0.734
4 Ba 0.321 0.661 0.989
5 Ba 0.328 0.992 0.248
6 Ba 0.331 0.672 0.505
7 Ba 0.624 0.647 0.228
8 Ba 0.647 0.624 0.728
9 Ba 0.661 0.321 0.489
10 Ba 0.672 0.331 0.005
11 Ba 0.992 0.328 0.748
12 Ba 0.997 0.003 0.000
13 Pt 0.320 0.346 0.857
14 Pt 0.346 0.320 0.357
15 Pt 0.603 0.935 0.746
16 Pt 0.665 0.998 0.084
17 Pt 0.674 0.998 0.407
18 Pt 0.935 0.603 0.246
19 Pt 0.998 0.665 0.584
20 Pt 0.998 0.674 0.907
21 O 0.005 0.525 0.424
22 O 0.009 0.538 0.066
23 O 0.141 0.670 0.748
24 O 0.150 0.159 0.756
25 O 0.159 0.150 0.256
26 O 0.165 0.856 0.010
27 O 0.167 0.354 0.980
28 O 0.169 0.833 0.476
29 O 0.295 0.470 0.301
30 O 0.300 0.496 0.735
31 O 0.354 0.167 0.480
32 O 0.470 0.295 0.801
33 O 0.486 0.521 0.971
34 O 0.496 0.300 0.235
35 O 0.504 0.842 0.247
36 O 0.521 0.486 0.471
37 O 0.525 0.005 0.924
38 O 0.538 0.009 0.566
39 O 0.666 0.857 0.924
40 O 0.668 0.853 0.567
41 O 0.670 0.141 0.248
42 O 0.804 0.981 0.242
43 O 0.833 0.169 0.976
44 O 0.842 0.504 0.747
45 O 0.853 0.668 0.067
46 O 0.856 0.165 0.510
47 O 0.857 0.666 0.424
48 O 0.981 0.804 0.742


Record 3
This entry pairs a crystal structure of BaPt2O6 with its calculated powder diffraction line list. Radiation: Cu Kα (weighted mean of Kα1 and Kα2). Structure: a crystal structure in Alexandria, relaxed with GGA-PBE.
Intensities are scaled so that the largest is 100.

Top 8 peaks for 2θ from 10° to 80°, by intensity:
| two_theta | d_spacing | I/Imax |
| --- | --- | --- |
| 24.6 | 3.612 | 100.0 |
| 46.3 | 1.960 | 51.6 |
| 33.4 | 2.682 | 46.3 |
| 15.4 | 5.744 | 38.1 |
| 54.7 | 1.679 | 22.2 |
| 42.0 | 2.153 | 21.9 |
| 37.0 | 2.430 | 19.6 |
| 31.1 | 2.872 | 16.3 |

Atomic structure:
a b c (Å): 5.363 5.363 5.744
angles (deg): 90.00 90.00 120.00
Atoms (fractional coordinates):
1 Ba 0.000 0.000 0.000
2 Pt 0.333 0.667 0.500
3 Pt 0.667 0.333 0.500
4 O 0.000 0.380 0.692
5 O 0.000 0.620 0.308
6 O 0.380 0.000 0.692
7 O 0.380 0.380 0.308
8 O 0.620 0.000 0.308
9 O 0.620 0.620 0.692


- What is the formula in the third record?
  BaPt2O6